DyFe6Sn6: calculated PXRD pattern (Cu Kα X-rays), based on DFT lattice parameters and positions (GGA-PBE).

Largest 8 diffraction maxima, low angle first, 10° ≤ 2θ ≤ 90°:
Position (°2θ)  I_rel
33.02  45
33.18  100
38.37  26
38.80  42
38.94  82
40.26  32
43.55  42
72.27  49

Crystal structure
```
DyFe6Sn6
1.0
4.4802 -9.3427 0.0000
4.4802 9.3427 0.0000
0.0000 0.0000 5.4259
Dy Fe Sn
2 12 12
direct
0.1278 0.8722 0.7500 Dy
0.8722 0.1278 0.2500 Dy
0.0000 0.5000 0.0000 Fe
0.0000 0.5000 0.5000 Fe
0.1221 0.3719 0.7500 Fe
0.2460 0.2460 0.0000 Fe
0.2460 0.2460 0.5000 Fe
0.3719 0.1221 0.2500 Fe
0.5000 0.0000 0.0000 Fe
0.5000 0.0000 0.5000 Fe
0.6281 0.8779 0.7500 Fe
0.7540 0.7540 0.0000 Fe
0.7540 0.7540 0.5000 Fe
0.8779 0.6281 0.2500 Fe
0.0421 0.9579 0.2500 Sn
0.2108 0.7892 0.2500 Sn
0.2124 0.4611 0.2500 Sn
0.2952 0.7048 0.7500 Sn
0.4598 0.5402 0.7500 Sn
0.4611 0.2124 0.7500 Sn
0.5389 0.7876 0.2500 Sn
0.5402 0.4598 0.2500 Sn
0.7048 0.2952 0.2500 Sn
0.7876 0.5389 0.7500 Sn
0.7892 0.2108 0.7500 Sn
0.9579 0.0421 0.7500 Sn
```